Calculated X-ray powder pattern of TbY2SnPb6 for a wavelength of 1.5418 Å, from the GGA-PBE geometry in OQMD.

Structural model:
```
TbY2SnPb6
1.0
2.2716 -13.5257 0.0000
2.2716 13.5257 0.0000
0.0000 0.0000 4.6131
Tb Y Sn Pb
1 2 1 6
direct
0.0000 0.0000 0.0000
0.3084 0.6916 0.5000
0.6916 0.3084 0.5000
0.5000 0.5000 0.5000
0.0960 0.9040 0.5000
0.2085 0.7915 0.0000
0.4034 0.5966 0.0000
0.5966 0.4034 0.0000
0.7915 0.2085 0.0000
0.9040 0.0960 0.5000
```

Top 6 peaks for 2θ from 5° to 70°, in order of rising 2θ:
2theta	d_spacing	I_rel
32.2	2.778	100
33.1	2.705	21
39.1	2.307	15
39.7	2.272	15
58.6	1.575	15
67.4	1.390	24